# 1
Starting from a structure optimized by DFT (PBE), the PXRD pattern of PrTmGe2Pt5 was calculated for a wavelength of 1.5418 Å.
Peak positions follow from Bragg's law for the DFT cell and can differ from measured ones.

Largest 10 diffraction maxima, in order of rising 2θ, 2θ from 5° to 70°:
d [Å]  two_theta  Rel. int.  (hkl)
8.992  9.84  6  0 0 1
4.496  19.75  5  0 0 2
2.532  35.46  100  1 1 2
2.465  36.45  7  1 0 3
2.248  40.11  13  0 0 4
2.166  41.69  42  2 0 0
2.143  42.18  10  1 1 3
1.560  59.23  17  2 0 4
1.532  60.43  14  2 2 0
1.346  69.87  13  1 1 6

```
data_PrTmGe2Pt5
_cell_length_a 4.3329
_cell_length_b 4.3329
_cell_length_c 8.9918
_cell_angle_alpha 90.00
_cell_angle_beta 90.00
_cell_angle_gamma 90.00
_symmetry_space_group_name_H-M 'P 4/m m m'
_symmetry_Int_Tables_number 123
_symmetry_space_group_name_Hall '-P 4 2'
loop_
_atom_site_label
_atom_site_fract_x
_atom_site_fract_y
_atom_site_fract_z
_atom_site_occupancy
Pr1 0.0000 0.0000 0.0000 1
Tm1 0.0000 0.0000 0.5000 1
Ge1 0.5000 0.5000 0.3658 1
Pt1 0.0000 0.5000 0.2355 1
Pt2 0.5000 0.5000 0.0000 1
```



# 2
Starting from a structure optimized by DFT (PBE), the PXRD pattern of PrTmGePt was calculated for a wavelength of 1.5418 Å.
Peak positions follow from Bragg's law for the DFT cell and can differ from measured ones.

Largest 8 diffraction maxima, in order of rising 2θ, 2θ from 5° to 70°:
d [Å]  two_theta  Rel. int.  (hkl)
4.152  21.40  10  1 1 1
3.596  24.76  1  2 0 0
2.543  35.30  100  2 2 0
2.168  41.65  5  3 1 1
1.798  50.78  18  4 0 0
1.650  55.71  2  3 3 1
1.468  63.36  37  4 2 2
1.384  67.70  2  5 1 1

```
data_PrTmGePt
_cell_length_a 7.1917
_cell_length_b 7.1917
_cell_length_c 7.1917
_cell_angle_alpha 90.00
_cell_angle_beta 90.00
_cell_angle_gamma 90.00
_symmetry_space_group_name_H-M 'F -4 3 m'
_symmetry_Int_Tables_number 216
_symmetry_space_group_name_Hall 'F -4 2 3'
loop_
_atom_site_label
_atom_site_fract_x
_atom_site_fract_y
_atom_site_fract_z
_atom_site_occupancy
Pr1 0.0000 0.0000 0.0000 1
Tm1 0.0000 0.0000 0.5000 1
Ge1 0.2500 0.2500 0.7500 1
Pt1 0.2500 0.2500 0.2500 1
```



# 3
Starting from a structure optimized by DFT (PBE), the PXRD pattern of Pr3ZnGe6Pt2 was calculated for a wavelength of 1.5418 Å.
Peak positions follow from Bragg's law for the DFT cell and can differ from measured ones.

Largest 10 diffraction maxima, in order of rising 2θ, 2θ from 5° to 70°:
d [Å]  two_theta  Rel. int.  (hkl)
3.260  27.36  35  0 1 2
3.005  29.73  100  1 1 0
2.828  31.63  24  1 1 1
2.788  32.10  38  0 0 3
2.485  36.14  49  0 2 1
2.441  36.83  87  1 1 2
2.210  40.84  43  2 0 2
2.044  44.32  39  1 1 3
1.603  57.50  28  0 3 2
1.503  61.73  33  2 2 0

```
data_Pr3ZnGe6Pt2
_cell_length_a 6.0109
_cell_length_b 6.0109
_cell_length_c 8.3640
_cell_angle_alpha 90.00
_cell_angle_beta 90.00
_cell_angle_gamma 120.00
_symmetry_space_group_name_H-M 'P -3 m 1'
_symmetry_Int_Tables_number 164
_symmetry_space_group_name_Hall '-P 3 2"'
loop_
_atom_site_label
_atom_site_fract_x
_atom_site_fract_y
_atom_site_fract_z
_atom_site_occupancy
Pr1 0.0000 0.0000 0.0000 1
Pr2 0.3333 0.6667 0.6339 1
Zn1 0.0000 0.0000 0.5000 1
Ge1 0.1892 0.3783 0.2810 1
Pt1 0.3333 0.6667 0.0249 1
```



# 4
Starting from a structure optimized by DFT (PBE), the PXRD pattern of Pr3PuGe4 was calculated for a wavelength of 1.5418 Å.
Peak positions follow from Bragg's law for the DFT cell and can differ from measured ones.

Largest 10 diffraction maxima, in order of rising 2θ, 2θ from 5° to 70°:
d [Å]  two_theta  Rel. int.  (hkl)
3.252  27.42  100  1 1 2
2.894  30.90  20  0 1 5
2.667  33.61  33  1 1 4
2.540  35.33  29  0 2 4
2.332  38.61  30  1 2 3
2.117  42.72  20  2 0 0
2.023  44.80  15  1 0 7
1.885  48.29  20  1 3 2
1.626  56.60  15  2 2 4
1.397  66.96  22  1 3 8

```
data_Pr3PuGe4
_cell_length_a 4.2334
_cell_length_b 6.5405
_cell_length_c 16.1341
_cell_angle_alpha 90.00
_cell_angle_beta 90.00
_cell_angle_gamma 90.00
_symmetry_space_group_name_H-M 'I m m m'
_symmetry_Int_Tables_number 71
_symmetry_space_group_name_Hall '-I 2 2'
loop_
_atom_site_label
_atom_site_fract_x
_atom_site_fract_y
_atom_site_fract_z
_atom_site_occupancy
Pr1 0.0000 0.0000 0.0000 1
Pr2 0.0000 0.5000 0.1928 1
Pu1 0.0000 0.0000 0.5000 1
Ge1 0.0000 0.3094 0.3706 1
```



# 5
Starting from a structure optimized by DFT (PBE), the PXRD pattern of PrReGe4 was calculated for a wavelength of 1.5418 Å.
Peak positions follow from Bragg's law for the DFT cell and can differ from measured ones.

Largest 10 diffraction maxima, in order of rising 2θ, 2θ from 5° to 70°:
d [Å]  two_theta  Rel. int.  (hkl)
4.429  20.05  39  1 0 -1
4.262  20.84  66  1 0 1
3.051  29.27  52  0 1 -2
2.876  31.09  69  -1 1 2
2.867  31.19  100  0 2 0
2.633  34.05  96  2 0 -1
2.562  35.02  32  -2 2 1
2.146  42.10  69  1 -1 3
1.819  50.15  37  1 1 3
1.787  51.12  44  3 0 1

```
data_PrReGe4
_cell_length_a 6.4353
_cell_length_b 6.5911
_cell_length_c 6.8793
_cell_angle_alpha 93.98
_cell_angle_beta 90.02
_cell_angle_gamma 119.21
_symmetry_space_group_name_H-M 'P -1'
_symmetry_Int_Tables_number 2
loop_
_symmetry_equiv_pos_as_xyz
'x,y,z'
'-x,-y,-z'
loop_
_atom_site_label
_atom_site_fract_x
_atom_site_fract_y
_atom_site_fract_z
_atom_site_occupancy
Pr1 0.0976 0.0010 0.2501 1
Re1 0.0000 0.5000 0.5000 1
Re2 0.5000 0.5000 0.0000 1
Ge1 0.1355 0.4946 0.1502 1
Ge2 0.3205 0.8951 0.5912 1
Ge3 0.3575 0.4942 0.6512 1
Ge4 0.4261 0.1054 0.9085 1
```



# 6
Starting from a structure optimized by DFT (PBE), the PXRD pattern of PrRe4Ge12 was calculated for a wavelength of 1.5418 Å.
Peak positions follow from Bragg's law for the DFT cell and can differ from measured ones.

Largest 10 diffraction maxima, in order of rising 2θ, 2θ from 5° to 70°:
d [Å]  two_theta  Rel. int.  (hkl)
4.445  19.98  73  2 0 0
3.143  28.40  87  2 2 0
2.811  31.83  89  3 0 1
2.566  34.96  13  2 2 2
2.376  37.87  50  3 1 2
2.222  40.59  26  4 0 0
1.988  45.64  75  4 2 0
1.815  50.28  100  4 2 2
1.743  52.49  24  4 3 1
1.406  66.52  29  6 0 2

```
data_PrRe4Ge12
_cell_length_a 8.8896
_cell_length_b 8.8896
_cell_length_c 8.8896
_cell_angle_alpha 90.00
_cell_angle_beta 90.00
_cell_angle_gamma 90.00
_symmetry_space_group_name_H-M 'I m -3'
_symmetry_Int_Tables_number 204
_symmetry_space_group_name_Hall '-I 2 2 3'
loop_
_atom_site_label
_atom_site_fract_x
_atom_site_fract_y
_atom_site_fract_z
_atom_site_occupancy
Pr1 0.0000 0.0000 0.0000 1
Re1 0.2500 0.2500 0.2500 1
Ge1 0.0000 0.3360 0.1606 1
```



# 7
Starting from a structure optimized by DFT (PBE), the PXRD pattern of PrGe3Rh5 was calculated for a wavelength of 1.5418 Å.
Peak positions follow from Bragg's law for the DFT cell and can differ from measured ones.

Largest 10 diffraction maxima, in order of rising 2θ, 2θ from 5° to 70°:
d [Å]  two_theta  Rel. int.  (hkl)
3.082  28.97  38  0 4 1
2.925  30.57  38  1 3 0
2.805  31.90  100  1 1 3
2.641  33.94  61  1 3 2
2.515  35.70  30  0 4 3
2.402  37.44  80  1 1 4
2.154  41.94  52  1 5 0
2.033  44.57  42  1 5 2
2.017  44.94  75  2 0 0
1.884  48.30  55  0 6 3

```
data_PrGe3Rh5
_cell_length_a 4.0343
_cell_length_b 12.7385
_cell_length_c 12.3037
_cell_angle_alpha 90.00
_cell_angle_beta 90.00
_cell_angle_gamma 90.00
_symmetry_space_group_name_H-M 'C m c m'
_symmetry_Int_Tables_number 63
_symmetry_space_group_name_Hall '-C 2c 2'
loop_
_atom_site_label
_atom_site_fract_x
_atom_site_fract_y
_atom_site_fract_z
_atom_site_occupancy
Pr1 0.0000 0.1696 0.2500 1
Ge1 0.0000 0.1076 0.7500 1
Ge2 0.0000 0.3822 0.5468 1
Rh1 0.0000 0.0000 0.0000 1
Rh2 0.0000 0.1989 0.5714 1
Rh3 0.0000 0.4466 0.1425 1
```



# 8
Starting from a structure optimized by DFT (PBE), the PXRD pattern of Pr3GeRh2 was calculated for a wavelength of 1.5418 Å.
Peak positions follow from Bragg's law for the DFT cell and can differ from measured ones.

Largest 10 diffraction maxima, in order of rising 2θ, 2θ from 5° to 70°:
d [Å]  two_theta  Rel. int.  (hkl)
2.952  30.27  47  4 0 1
2.943  30.37  62  2 1 2
2.880  31.06  100  0 1 3
2.802  31.94  32  1 1 3
2.773  32.28  40  3 1 1
2.588  34.66  76  3 1 2
2.374  37.89  36  4 1 1
2.278  39.56  40  2 1 4
2.123  42.58  36  3 0 5
1.998  45.40  58  0 2 0

```
data_Pr3GeRh2
_cell_length_a 12.1554
_cell_length_b 3.9953
_cell_length_c 12.4640
_cell_angle_alpha 90.00
_cell_angle_beta 90.00
_cell_angle_gamma 90.00
_symmetry_space_group_name_H-M 'P n m a'
_symmetry_Int_Tables_number 62
loop_
_symmetry_equiv_pos_as_xyz
'x,y,z'
'-x,-y,-z'
'-x+1/2,-y,z+1/2'
'x+1/2,y,-z+1/2'
'x+1/2,-y+1/2,-z+1/2'
'-x+1/2,y+1/2,z+1/2'
'-x,y+1/2,-z'
'x,-y+1/2,z'
loop_
_atom_site_label
_atom_site_fract_x
_atom_site_fract_y
_atom_site_fract_z
_atom_site_occupancy
Pr1 0.0626 0.2500 0.1197 1
Pr2 0.1259 0.7500 0.5589 1
Pr3 0.1971 0.2500 0.8145 1
Ge1 0.1188 0.2500 0.3654 1
Rh1 0.0136 0.7500 0.3038 1
Rh2 0.1880 0.7500 0.9833 1
```